# Al5ZnGa4
Calculated powder diffraction line list, CuKα. Input: DFT lattice parameters and positions (PBE).
Intensities are scaled so that the largest is 100.

Main lines, low angle first (2θ = 15–90°):
| two_theta | d_spacing | I_rel | h k l |
| --- | --- | --- | --- |
| 21.6 | 4.123 | 47 | 0 0 5 |
| 30.0 | 2.979 | 22 | 0 1 0 |
| 32.1 | 2.789 | 18 | 1 0 0 |
| 36.1 | 2.490 | 62 | 0 1 -5 |
| 38.4 | 2.346 | 52 | 0 1 5 |
| 39.0 | 2.310 | 100 | 1 0 5 |
| 43.6 | 2.075 | 36 | 1 -1 0 |
| 43.9 | 2.062 | 34 | 0 0 10 |
| 45.4 | 1.999 | 32 | 1 1 0 |
| 62.3 | 1.489 | 12 | 0 2 0 |
| 77.5 | 1.232 | 12 | 2 -1 5 |
| 78.7 | 1.215 | 12 | 1 2 5 |

Structural model:
```
data_Al5ZnGa4
_chemical_formula_sum 'Al5 Zn1 Ga4'
_space_group_name_H-M_alt 'P -1'
_space_group_IT_number 2
_space_group_name_Hall '-P 1'
_cell_length_a 2.7905
_cell_length_b 2.9869
_cell_length_c 20.6580
_cell_angle_alpha 93.59
_cell_angle_beta 90.01
_cell_angle_gamma 92.13
loop_
_atom_site_label
_atom_site_fract_x
_atom_site_fract_y
_atom_site_fract_z
Al1 0.0000 0.0000 0.0000
Al2 0.0004 0.0014 0.2027
Al3 0.0021 0.0122 0.5937
Zn1 0.5000 0.5000 0.5000
Ga1 0.4963 0.5041 0.3042
Ga2 0.4981 0.4971 0.1013
```